Entry 1:
This entry pairs a crystal structure of Ac2BPt6Pb with its theoretical powder diffractogram. Radiation: Cu Ka. Structure: the PBE geometry in Alexandria.
Lines closer than 0.1° are merged.

Peak list (12 most intense, 2θ from 10° to 80°, low angle first)
- d = 3.321 Å, 26.8°, intensity 27
- d = 3.026 Å, 29.5°, intensity 38
- d = 2.923 Å, 30.6°, intensity 43
- d = 2.623 Å, 34.2°, intensity 25
- d = 2.506 Å, 35.8°, intensity 100
- d = 2.464 Å, 36.5°, intensity 60
- d = 2.432 Å, 37.0°, intensity 43
- d = 2.306 Å, 39.1°, intensity 27
- d = 2.295 Å, 39.3°, intensity 84
- d = 2.104 Å, 43.0°, intensity 26
- d = 1.660 Å, 55.3°, intensity 42
- d = 1.321 Å, 71.4°, intensity 25

Crystal structure
Lattice parameters (Å, degrees): 6.7356 6.7356 7.4636 121.81 121.81 51.21
Positions (direct):
Ac 0.0000 0.0000 0.0000
Ac 0.5424 0.5424 0.6125
B 0.8385 0.8385 0.4021
Pt 0.0306 0.0306 0.4496
Pt 0.0497 0.5331 0.1524
Pt 0.4978 0.9934 0.4851
Pt 0.5331 0.0497 0.1524
Pt 0.5709 0.5709 0.0648
Pt 0.9934 0.4978 0.4851
Pb 0.2970 0.2970 0.8436


Entry 2:
This entry pairs a crystal structure of Ac4B3Pd16 with its theoretical powder diffractogram. Radiation: Cu Ka. Structure: the PBE geometry in Alexandria.
Lines closer than 0.1° are merged.

Peak list (12 most intense, 2θ from 10° to 80°, low angle first)
- d = 5.879 Å, 15.1°, intensity 10
- d = 4.177 Å, 21.3°, intensity 11
- d = 2.863 Å, 31.2°, intensity 24
- d = 2.639 Å, 34.0°, intensity 89
- d = 2.359 Å, 38.2°, intensity 100
- d = 2.351 Å, 38.3°, intensity 41
- d = 2.089 Å, 43.3°, intensity 62
- d = 1.562 Å, 59.2°, intensity 45
- d = 1.477 Å, 62.9°, intensity 20
- d = 1.316 Å, 71.7°, intensity 19
- d = 1.289 Å, 73.5°, intensity 19
- d = 1.251 Å, 76.1°, intensity 48

Crystal structure
Lattice parameters (Å, degrees): 5.9074 5.9074 11.7575 90.00 90.00 90.00
Positions (direct):
Ac 0.0000 0.5000 0.2004
Ac 0.0000 0.5000 0.7996
Ac 0.5000 0.0000 0.2004
Ac 0.5000 0.0000 0.7996
B 0.0000 0.0000 0.0000
B 0.0000 0.5000 0.5000
B 0.5000 0.0000 0.5000
Pd 0.0000 0.0000 0.1918
Pd 0.0000 0.0000 0.8082
Pd 0.2506 0.2506 0.3886
Pd 0.2506 0.2506 0.6114
Pd 0.2506 0.7494 0.3886
Pd 0.2506 0.7494 0.6114
Pd 0.2566 0.2566 0.0000
Pd 0.2566 0.7434 0.0000
Pd 0.5000 0.5000 0.1896
Pd 0.5000 0.5000 0.8104
Pd 0.7434 0.2566 0.0000
Pd 0.7434 0.7434 0.0000
Pd 0.7494 0.2506 0.3886
Pd 0.7494 0.2506 0.6114
Pd 0.7494 0.7494 0.3886
Pd 0.7494 0.7494 0.6114


Entry 3:
This entry pairs a crystal structure of AcTlBPd4 with its theoretical powder diffractogram. Radiation: Cu Ka. Structure: the PBE geometry in Alexandria.
Lines closer than 0.1° are merged.

Peak list (12 most intense, 2θ from 10° to 80°, low angle first)
- d = 5.881 Å, 15.1°, intensity 97
- d = 3.601 Å, 24.7°, intensity 100
- d = 3.071 Å, 29.1°, intensity 71
- d = 2.940 Å, 30.4°, intensity 32
- d = 2.337 Å, 38.5°, intensity 62
- d = 2.079 Å, 43.5°, intensity 44
- d = 1.960 Å, 46.3°, intensity 51
- d = 1.801 Å, 50.7°, intensity 43
- d = 1.722 Å, 53.2°, intensity 17
- d = 1.426 Å, 65.4°, intensity 16
- d = 1.361 Å, 69.0°, intensity 29
- d = 1.200 Å, 79.9°, intensity 18

Crystal structure
Lattice parameters (Å, degrees): 7.2026 7.2026 7.2026 60.00 60.00 60.00
Positions (direct):
Ac 0.0000 0.0000 0.0000
Tl 0.2500 0.2500 0.2500
B 0.5000 0.5000 0.5000
Pd 0.3931 0.3931 0.3931
Pd 0.3931 0.3931 0.8206
Pd 0.3931 0.8206 0.3931
Pd 0.8206 0.3931 0.3931


Entry 4:
This entry pairs a crystal structure of AcZnBPd6 with its theoretical powder diffractogram. Radiation: Cu Ka. Structure: the PBE geometry in Alexandria.
Lines closer than 0.1° are merged.

Peak list (12 most intense, 2θ from 10° to 80°, low angle first)
- d = 3.293 Å, 27.1°, intensity 21
- d = 3.018 Å, 29.6°, intensity 33
- d = 2.834 Å, 31.6°, intensity 19
- d = 2.654 Å, 33.8°, intensity 100
- d = 2.622 Å, 34.2°, intensity 38
- d = 2.500 Å, 35.9°, intensity 43
- d = 2.372 Å, 37.9°, intensity 21
- d = 2.167 Å, 41.7°, intensity 48
- d = 1.937 Å, 46.9°, intensity 64
- d = 1.722 Å, 53.2°, intensity 22
- d = 1.679 Å, 54.7°, intensity 16
- d = 1.327 Å, 71.0°, intensity 24

Crystal structure
Lattice parameters (Å, degrees): 7.8860 7.8860 7.8860 129.61 113.30 88.10
Positions (direct):
Ac 0.4219 0.1719 0.2500
Ac 0.5781 0.8281 0.7500
Zn 0.0000 0.0000 0.5000
Zn 0.0000 0.5000 0.0000
B 0.0000 0.5000 0.5000
B 0.5000 0.5000 0.0000
Pd 0.1101 0.3981 0.2614
Pd 0.1101 0.8487 0.7119
Pd 0.1655 0.9155 0.2500
Pd 0.2897 0.5397 0.7500
Pd 0.3632 0.1513 0.7614
Pd 0.3632 0.6019 0.2119
Pd 0.6368 0.3981 0.7881
Pd 0.6368 0.8487 0.2386
Pd 0.7103 0.4603 0.2500
Pd 0.8345 0.0845 0.7500
Pd 0.8899 0.1513 0.2881
Pd 0.8899 0.6019 0.7386


Entry 5:
This entry pairs a crystal structure of Ac2BPt6 with its theoretical powder diffractogram. Radiation: Cu Ka. Structure: the PBE geometry in Alexandria.
Lines closer than 0.1° are merged.

Peak list (5 most intense, 2θ from 10° to 80°, low angle first)
- d = 2.539 Å, 35.4°, intensity 100
- d = 2.199 Å, 41.1°, intensity 51
- d = 1.555 Å, 59.5°, intensity 35
- d = 1.326 Å, 71.1°, intensity 40
- d = 1.269 Å, 74.8°, intensity 12

Crystal structure
Lattice parameters (Å, degrees): 6.2188 6.2188 6.2188 60.00 60.00 60.00
Positions (direct):
Ac 0.2500 0.2500 0.2500
Ac 0.7500 0.7500 0.7500
B 0.0000 0.0000 0.0000
Pt 0.2547 0.2547 0.7453
Pt 0.2547 0.7453 0.2547
Pt 0.2547 0.7453 0.7453
Pt 0.7453 0.2547 0.2547
Pt 0.7453 0.2547 0.7453
Pt 0.7453 0.7453 0.2547


Entry 6:
This entry pairs a crystal structure of Ac2B3Pt8 with its theoretical powder diffractogram. Radiation: Cu Ka. Structure: the PBE geometry in Alexandria.
Lines closer than 0.1° are merged.

Peak list (12 most intense, 2θ from 10° to 80°, low angle first)
- d = 3.744 Å, 23.8°, intensity 23
- d = 3.177 Å, 28.1°, intensity 20
- d = 2.873 Å, 31.1°, intensity 100
- d = 2.648 Å, 33.8°, intensity 99
- d = 2.601 Å, 34.5°, intensity 45
- d = 2.426 Å, 37.1°, intensity 24
- d = 2.372 Å, 37.9°, intensity 24
- d = 2.247 Å, 40.1°, intensity 77
- d = 2.118 Å, 42.7°, intensity 25
- d = 1.742 Å, 52.5°, intensity 19
- d = 1.420 Å, 65.7°, intensity 19
- d = 1.311 Å, 72.1°, intensity 20

Crystal structure
Lattice parameters (Å, degrees): 7.2837 7.2837 6.9985 112.55 112.55 47.71
Positions (direct):
Ac 0.0000 0.0000 0.0000
Ac 0.5074 0.5074 0.5508
B 0.2529 0.2529 0.7725
B 0.5322 0.9739 0.2733
B 0.9739 0.5322 0.2733
Pt 0.0144 0.5305 0.5782
Pt 0.0776 0.0776 0.6387
Pt 0.4287 0.4287 0.9113
Pt 0.4936 0.9774 0.9698
Pt 0.5305 0.0144 0.5782
Pt 0.6194 0.6194 0.2277
Pt 0.8871 0.8871 0.3216
Pt 0.9774 0.4936 0.9698


Entry 7:
This entry pairs a crystal structure of AcB4Pt12 with its theoretical powder diffractogram. Radiation: Cu Ka. Structure: the PBE geometry in Alexandria.
Lines closer than 0.1° are merged.

Peak list (12 most intense, 2θ from 10° to 80°, low angle first)
- d = 2.857 Å, 31.3°, intensity 8
- d = 2.556 Å, 35.1°, intensity 100
- d = 2.333 Å, 38.6°, intensity 21
- d = 2.160 Å, 41.8°, intensity 58
- d = 2.021 Å, 44.9°, intensity 5
- d = 1.807 Å, 50.5°, intensity 5
- d = 1.723 Å, 53.2°, intensity 9
- d = 1.650 Å, 55.7°, intensity 11
- d = 1.585 Å, 58.2°, intensity 15
- d = 1.386 Å, 67.6°, intensity 25
- d = 1.347 Å, 69.8°, intensity 14
- d = 1.311 Å, 72.0°, intensity 25

Crystal structure
Lattice parameters (Å, degrees): 6.9992 6.9992 6.9992 109.47 109.47 109.47
Positions (direct):
Ac 0.0000 0.0000 0.0000
B 0.0000 0.0000 0.5000
B 0.0000 0.5000 0.0000
B 0.5000 0.0000 0.0000
B 0.5000 0.5000 0.5000
Pt 0.1404 0.8119 0.3285
Pt 0.1881 0.3285 0.5166
Pt 0.1881 0.6715 0.8596
Pt 0.3285 0.1404 0.8119
Pt 0.3285 0.5166 0.1881
Pt 0.4834 0.8119 0.6715
Pt 0.5166 0.1881 0.3285
Pt 0.6715 0.4834 0.8119
Pt 0.6715 0.8596 0.1881
Pt 0.8119 0.3285 0.1404
Pt 0.8119 0.6715 0.4834
Pt 0.8596 0.1881 0.6715


Entry 8:
This entry pairs a crystal structure of Ac2B2Pt7 with its theoretical powder diffractogram. Radiation: Cu Ka. Structure: the PBE geometry in Alexandria.
Lines closer than 0.1° are merged.

Peak list (12 most intense, 2θ from 10° to 80°, low angle first)
- d = 2.900 Å, 30.8°, intensity 75
- d = 2.860 Å, 31.3°, intensity 24
- d = 2.759 Å, 32.5°, intensity 80
- d = 2.646 Å, 33.9°, intensity 100
- d = 2.510 Å, 35.8°, intensity 27
- d = 2.489 Å, 36.1°, intensity 59
- d = 2.107 Å, 42.9°, intensity 37
- d = 2.064 Å, 43.9°, intensity 53
- d = 2.042 Å, 44.4°, intensity 28
- d = 1.589 Å, 58.0°, intensity 31
- d = 1.475 Å, 63.0°, intensity 38
- d = 1.452 Å, 64.1°, intensity 21

Crystal structure
Lattice parameters (Å, degrees): 6.8963 4.1295 8.0916 90.00 113.56 90.00
Positions (direct):
Ac 0.1255 0.0000 0.2939
Ac 0.8745 0.0000 0.7061
B 0.4777 0.5000 0.2259
B 0.5223 0.5000 0.7741
Pt 0.1860 0.5000 0.6430
Pt 0.1986 0.5000 0.0041
Pt 0.4666 0.0000 0.8285
Pt 0.5000 0.5000 0.5000
Pt 0.5334 0.0000 0.1715
Pt 0.8014 0.5000 0.9959
Pt 0.8140 0.5000 0.3570